Entry 1:
Pm3Tl2Sn: theoretical PXRD pattern (CuKα), based on the GGA-PBE geometry in Alexandria.
Neutral-atom scattering factors, no anomalous dispersion.

Largest 8 diffraction maxima, by angle, 2θ = 15–90°:
2theta  I (rel.)  (hkl)
32.06  100  1 3 1
34.81  40  2 0 0
41.59  12  0 0 2
50.06  14  2 6 0
55.33  22  2 0 2
60.64  17  3 3 1
60.75  16  1 9 1
67.05  12  2 6 2

Atomic structure:
```
data_Pm3Tl2Sn
_chemical_formula_sum 'Pm6 Tl4 Sn2'
_cell_length_a 5.1597
_cell_length_b 15.4443
_cell_length_c 4.3424
_cell_angle_alpha 90.00
_cell_angle_beta 90.00
_cell_angle_gamma 90.00
_symmetry_space_group_name_H-M 'C m m m'
_symmetry_Int_Tables_number 65
_symmetry_space_group_name_Hall '-C 2 2'
loop_
_atom_site_label
_atom_site_type_symbol
_atom_site_fract_x
_atom_site_fract_y
_atom_site_fract_z
Pm1 Pm 0.0000 0.0000 0.0000
Pm2 Pm 0.0000 0.3366 0.0000
Tl1 Tl 0.0000 0.1706 0.5000
Sn1 Sn 0.0000 0.5000 0.5000
```



Entry 2:
K4Sr: theoretical PXRD pattern (CuKα), based on the GGA-PBE geometry in Alexandria.
Neutral-atom scattering factors, no anomalous dispersion.

Largest 8 diffraction maxima, by angle, 2θ = 15–90°:
2theta  I (rel.)  (hkl)
23.57  29  0 0 10
24.38  27  0 2 0
24.96  100  1 1 5
34.17  22  0 2 10
42.30  22  1 1 15
43.26  21  1 3 5
51.22  13  2 2 10
55.88  13  0 4 10

Atomic structure:
```
data_K4Sr
_chemical_formula_sum 'K16 Sr4'
_cell_length_a 4.8619
_cell_length_b 7.3033
_cell_length_c 37.7411
_cell_angle_alpha 90.00
_cell_angle_beta 90.00
_cell_angle_gamma 90.00
_symmetry_space_group_name_H-M 'F m m m'
_symmetry_Int_Tables_number 69
_symmetry_space_group_name_Hall '-F 2 2'
loop_
_atom_site_label
_atom_site_type_symbol
_atom_site_fract_x
_atom_site_fract_y
_atom_site_fract_z
K1 K 0.0000 0.0000 0.0967
K2 K 0.0000 0.0000 0.3010
Sr1 Sr 0.0000 0.0000 0.5000
```



Entry 3:
K23Rb6Cd: theoretical PXRD pattern (CuKα), based on the GGA-PBE geometry in Alexandria.
Neutral-atom scattering factors, no anomalous dispersion.

Largest 8 diffraction maxima, by angle, 2θ = 15–90°:
2theta  I (rel.)  (hkl)
22.10  100  3 3 3
24.09  92  4 4 0
25.57  23  6 0 0
28.32  13  6 2 2
36.48  28  6 6 0
37.26  26  5 5 5
43.06  20  9 3 3
51.75  14  10 6 2

Atomic structure:
```
data_K23Rb6Cd
_chemical_formula_sum 'K92 Rb24 Cd4'
_cell_length_a 20.9006
_cell_length_b 20.9006
_cell_length_c 20.9006
_cell_angle_alpha 90.00
_cell_angle_beta 90.00
_cell_angle_gamma 90.00
_symmetry_space_group_name_H-M 'F m -3 m'
_symmetry_Int_Tables_number 225
_symmetry_space_group_name_Hall '-F 4 2 3'
loop_
_atom_site_label
_atom_site_type_symbol
_atom_site_fract_x
_atom_site_fract_y
_atom_site_fract_z
K1 K 0.0000 0.0000 0.0000
K2 K 0.0000 0.2500 0.2500
K3 K 0.1184 0.1184 0.1184
K4 K 0.1672 0.1672 0.3328
Rb1 Rb 0.0000 0.0000 0.3089
Cd1 Cd 0.0000 0.0000 0.5000
```



Entry 4:
K2ScVBr: theoretical PXRD pattern (CuKα), based on the GGA-PBE geometry in Alexandria.
Neutral-atom scattering factors, no anomalous dispersion.

Largest 8 diffraction maxima, by angle, 2θ = 15–90°:
2theta  I (rel.)  (hkl)
18.01  31  1 1 0
25.58  100  2 0 0
25.94  72  1 1 1
36.49  37  2 2 0
37.54  17  0 0 2
45.32  29  3 1 1
45.98  37  2 0 2
53.35  23  2 2 2

Atomic structure:
```
data_K2ScVBr
_chemical_formula_sum 'K2 Sc1 V1 Br1'
_cell_length_a 6.9639
_cell_length_b 6.9639
_cell_length_c 4.7920
_cell_angle_alpha 90.00
_cell_angle_beta 90.00
_cell_angle_gamma 90.00
_symmetry_space_group_name_H-M 'P 4/m m m'
_symmetry_Int_Tables_number 123
_symmetry_space_group_name_Hall '-P 4 2'
loop_
_atom_site_label
_atom_site_type_symbol
_atom_site_fract_x
_atom_site_fract_y
_atom_site_fract_z
K1 K 0.0000 0.5000 0.0000
Sc1 Sc 0.0000 0.0000 0.5000
V1 V 0.5000 0.5000 0.0000
Br1 Br 0.5000 0.5000 0.5000
```